(1)
Structure and computed powder XRD pattern of CaLaI5 (the PBE geometry in the Materials Project; Cu Kα (λ = 1.5418 Å)).

Atomic structure:
```
CaLaI5
1.0
2.238 -7.455 0.000
2.238 7.455 0.000
0.000 0.000 18.310
Ca La I
2 2 10
Direct
0.000 0.000 0.000
0.000 0.000 0.500
0.485 0.515 0.750
0.515 0.485 0.250
0.101 0.899 0.650
0.101 0.899 0.850
0.164 0.836 0.250
0.386 0.614 0.575
0.386 0.614 0.925
0.614 0.386 0.075
0.614 0.386 0.425
0.836 0.164 0.750
0.899 0.101 0.150
0.899 0.101 0.350
```

Main lines, in order of falling intensity (10° ≤ 2θ ≤ 80°):
28.55 deg, 3.126 Å, I 100
27.13 deg, 3.287 Å, I 96
25.39 deg, 3.508 Å, I 68
27.25 deg, 3.272 Å, I 63
36.13 deg, 2.486 Å, I 61
11.87 deg, 7.455 Å, I 57
40.31 deg, 2.237 Å, I 38
49.26 deg, 1.850 Å, I 36



(2)
Structure and computed powder XRD pattern of HfSiPt (the PBE geometry in the Materials Project; Cu Kα (λ = 1.5418 Å)).

Atomic structure:
```
HfSiPt
1.0
6.595 0.000 0.000
0.000 3.909 0.000
0.000 0.000 7.577
Hf Si Pt
4 4 4
Direct
0.026 0.250 0.177
0.474 0.750 0.677
0.526 0.250 0.323
0.974 0.750 0.823
0.240 0.750 0.378
0.260 0.250 0.878
0.740 0.750 0.122
0.760 0.250 0.622
0.146 0.250 0.566
0.354 0.750 0.066
0.646 0.250 0.934
0.854 0.750 0.434
```

Main lines, in order of falling intensity (10° ≤ 2θ ≤ 80°):
35.67 deg, 2.517 Å, I 100
37.61 deg, 2.391 Å, I 39
29.05 deg, 3.073 Å, I 24
46.47 deg, 1.954 Å, I 24
38.16 deg, 2.359 Å, I 23
42.62 deg, 2.121 Å, I 22
42.83 deg, 2.111 Å, I 21
69.82 deg, 1.347 Å, I 20